SrC6Br2O8: theoretical powder XRD pattern (CuKα), based on a structure optimized by DFT (PBE).
Peak positions follow from Bragg's law for the DFT cell and can differ from measured ones.

Cell and atoms:
```
34
Lattice="6.219 -8.743 0.000 6.219 8.743 0.000 -1.717 0.000 6.246" Properties=species:S:1:pos:R:3 pbc="T T T"
Sr 2.231 0.000 0.876
Sr 8.490 0.000 5.371
C 2.323 3.380 0.726
C 2.499 3.985 5.391
C 1.765 2.962 6.045
C 2.323 -3.380 0.726
C 1.765 -2.962 6.045
C 8.223 3.985 0.856
C 2.499 -3.985 5.391
C 8.957 2.962 0.201
C 8.398 3.380 5.521
C 8.957 -2.962 0.201
C 8.223 -3.985 0.856
C 8.398 -3.380 5.521
Br 3.940 3.531 4.273
Br 6.782 3.531 1.974
Br 3.940 -3.531 4.273
Br 6.782 -3.531 1.974
O -1.461 0.000 5.618
O 1.720 2.454 1.318
O 5.361 6.649 3.123
O 1.978 1.730 5.930
O 1.720 -2.454 1.318
O 3.390 0.000 3.569
O 1.978 -1.730 5.930
O 4.426 0.000 4.231
O 6.295 0.000 2.015
O 8.744 1.730 0.316
O 7.332 0.000 2.677
O 9.001 2.454 4.928
O 8.744 -1.730 0.316
O 5.361 -6.649 3.123
O 9.001 -2.454 4.928
O 12.183 0.000 0.629
```

Peak list (12 most intense, 2θ from 10° to 90°, in order of rising 2θ)
d = 5.895 Å, rel. 25
d = 5.242 Å, rel. 27
d = 4.371 Å, rel. 21
d = 4.266 Å, rel. 17
d = 3.846 Å, rel. 100
d = 3.773 Å, rel. 21
d = 3.357 Å, rel. 15
d = 2.946 Å, rel. 16
d = 2.869 Å, rel. 20
d = 2.593 Å, rel. 29
d = 2.376 Å, rel. 30
d = 1.924 Å, rel. 14